# TlCo7
Computed PXRD pattern, Cu Kα (weighted mean of Kα1 and Kα2). Input: a DFT-relaxed cell (PBE, OQMD).

Lattice parameters (Å, degrees): 2.6255 3.3435 31.4215 90.00 90.00 90.00
Space group Pmm2 (No. 25)
Symmetry-distinct sites (fractional):
Tl 0.0000 0.0000 0.0000 (multiplicity 1)
Tl 0.5000 0.5000 0.3583 (multiplicity 1)
Co 0.0000 0.0000 0.4238 (multiplicity 1)
Co 0.0000 0.0000 0.5016 (multiplicity 1)
Co 0.0000 0.0000 0.5806 (multiplicity 1)
Co 0.0000 0.0000 0.6598 (multiplicity 1)
Co 0.0000 0.0000 0.7389 (multiplicity 1)
Co 0.0000 0.0000 0.8184 (multiplicity 1)
Co 0.0000 0.0000 0.8985 (multiplicity 1)
Co 0.5000 0.5000 0.4607 (multiplicity 1)
Co 0.5000 0.5000 0.5406 (multiplicity 1)
Co 0.5000 0.5000 0.6199 (multiplicity 1)
Co 0.5000 0.5000 0.6991 (multiplicity 1)
Co 0.5000 0.5000 0.7783 (multiplicity 1)
Co 0.5000 0.5000 0.8575 (multiplicity 1)
Co 0.5000 0.5000 0.9353 (multiplicity 1)

Largest 6 diffraction maxima, in order of rising 2θ, 5 to 70 degrees two-theta:
two_theta  I_rel  h k l
5.63  100.0  0 0 2
8.44  19.4  0 0 3
14.09  7.1  0 0 5
43.88  42.9  1 1 0
49.14  11.2  1 0 12
54.90  8.5  0 2 0


# Zr2Sn
Computed PXRD pattern, Cu Kα (weighted mean of Kα1 and Kα2). Input: a DFT-relaxed cell (PBE, OQMD).

Lattice parameters (Å, degrees): 9.6559 5.2900 5.2952 90.00 90.00 90.00
Space group Cmcm (No. 63)
Symmetry-distinct sites (fractional):
Zr 0.1626 0.2474 0.2500 (multiplicity 8)
Sn 0.0000 0.2535 0.7500 (multiplicity 4)

Largest 6 diffraction maxima, in order of rising 2θ, 5 to 70 degrees two-theta:
two_theta  I_rel  h k l
33.87  63.1  0 2 0
36.83  100.0  3 1 1
48.66  22.6  0 2 2
57.25  6.8  6 0 0
62.55  42.1  3 1 3
68.20  16.1  6 2 0


# La2Hf3Zn2
Computed PXRD pattern, Cu Kα (weighted mean of Kα1 and Kα2). Input: a DFT-relaxed cell (PBE, OQMD).

Lattice parameters (Å, degrees): 5.1010 5.1010 22.4949 90.00 90.00 120.00
Space group R3m (No. 160, hexagonal axes)
Symmetry-distinct sites (fractional):
La 0.0000 0.0000 0.0000 (multiplicity 3)
La 0.0000 0.0000 0.4371 (multiplicity 3)
Hf 0.0000 0.0000 0.2588 (multiplicity 3)
Hf 0.0000 0.0000 0.5853 (multiplicity 3)
Hf 0.0000 0.0000 0.8571 (multiplicity 3)
Zn 0.0000 0.0000 0.1404 (multiplicity 3)
Zn 0.0000 0.0000 0.7197 (multiplicity 3)

Largest 6 diffraction maxima, in order of rising 2θ, 5 to 70 degrees two-theta:
two_theta  I_rel  h k l
11.80  21.8  0 0 3
28.31  21.7  0 1 5
34.51  74.0  1 0 7
35.19  100.0  1 1 0
50.11  25.7  0 2 7
62.71  26.0  2 1 7